(1)
Computed X-ray powder pattern
Compound: Pu2Zn12Au7
Radiation: λ = 1.5418 Å (Cu Kα)
Structure: a structure optimized by DFT (PBE)
Intensities are scaled so that the largest is 100.

Crystal structure
Lattice parameters (Å, degrees): 10.4213 10.4213 4.1951 90.00 90.00 120.00
Space group P-3 (No. 147)
Asymmetric unit:
Pu 0.3333 0.6667 0.2479
Zn 0.0407 0.4295 0.7507
Zn 0.1170 0.2648 0.2427
Au 0.0000 0.0000 0.5000
Au 0.1310 0.7148 0.7493

The 10 most intense peaks (2θ = 10–90°), most intense first:
| d/Å | Rel. int. | index |
| --- | --- | --- |
| 2.647 | 100.0 | 2 1 1 |
| 1.969 | 49.5 | 1 4 0 |
| 3.072 | 42.7 | 0 2 1 |
| 3.411 | 40.0 | 2 1 0 |
| 2.150 | 39.5 | 4 -3 1 |
| 2.098 | 24.6 | 0 0 2 |
| 1.857 | 23.7 | 3 2 1 |
| 1.436 | 23.5 | 1 4 2 |
| 2.445 | 21.6 | 3 0 1 |
| 3.268 | 15.7 | 1 1 1 |

=====

(2)
Computed X-ray powder pattern
Compound: PuZn4Au6
Radiation: λ = 1.5418 Å (Cu Kα)
Structure: a structure optimized by DFT (PBE)
Intensities are scaled so that the largest is 100.

Crystal structure
Lattice parameters (Å, degrees): 6.893 6.893 9.419 90.00 90.00 90.00
Space group I-42m (No. 121)
Asymmetric unit:
Pu 0.000 0.000 0.000
Zn 0.177 0.177 0.582
Au 0.000 0.500 0.000
Au 0.166 0.166 0.297

The 10 most intense peaks (2θ = 10–90°), most intense first:
| d/Å | Rel. int. | index |
| --- | --- | --- |
| 2.930 | 100.0 | 2 1 1 |
| 2.781 | 92.8 | 2 0 2 |
| 2.200 | 45.0 | 2 1 3 |
| 2.857 | 38.9 | 1 0 3 |
| 2.437 | 37.5 | 2 2 0 |
| 2.232 | 33.9 | 3 0 1 |
| 2.120 | 33.4 | 1 1 4 |
| 2.180 | 29.9 | 3 1 0 |
| 1.693 | 27.4 | 2 2 4 |
| 1.290 | 24.3 | 4 2 4 |

=====

(3)
Computed X-ray powder pattern
Compound: PuZn2Au10
Radiation: λ = 1.5418 Å (Cu Kα)
Structure: a structure optimized by DFT (PBE)
Intensities are scaled so that the largest is 100.

Crystal structure
Lattice parameters (Å, degrees): 5.533 13.283 13.434 90.00 90.00 90.00
Space group Fmmm (No. 69)
Asymmetric unit:
Pu 0.000 0.000 0.000
Zn 0.250 0.000 0.250
Au 0.000 0.105 0.388
Au 0.000 0.164 0.175
Au 0.250 0.250 0.000

The 10 most intense peaks (2θ = 10–90°), most intense first:
| d/Å | Rel. int. | index |
| --- | --- | --- |
| 2.360 | 100.0 | 0 4 4 |
| 2.124 | 57.7 | 2 4 0 |
| 2.378 | 57.1 | 1 1 5 |
| 2.736 | 49.8 | 1 3 3 |
| 2.387 | 49.3 | 2 2 2 |
| 2.135 | 28.9 | 2 0 4 |
| 2.766 | 28.8 | 2 0 0 |
| 1.368 | 26.2 | 2 6 6 |
| 2.977 | 17.3 | 0 4 2 |
| 1.359 | 15.9 | 1 9 3 |

=====

(4)
Computed X-ray powder pattern
Compound: Pu2Zn7Au12
Radiation: λ = 1.5418 Å (Cu Kα)
Structure: a structure optimized by DFT (PBE)
Intensities are scaled so that the largest is 100.

Crystal structure
Lattice parameters (Å, degrees): 10.5978 10.5978 4.1305 90.00 90.00 120.00
Space group P-3 (No. 147)
Asymmetric unit:
Pu 0.3333 0.6667 0.2436
Zn 0.0000 0.0000 0.5000
Zn 0.1067 0.7048 0.7325
Au 0.0786 0.4508 0.7570
Au 0.1258 0.2594 0.2295

The 10 most intense peaks (2θ = 10–90°), most intense first:
| d/Å | Rel. int. | index |
| --- | --- | --- |
| 2.656 | 100.0 | 2 1 1 |
| 2.004 | 21.4 | 1 4 0 |
| 2.065 | 15.0 | 0 0 2 |
| 2.106 | 12.9 | 3 2 0 |
| 1.280 | 9.6 | 2 1 3 |
| 3.469 | 9.2 | 2 1 0 |
| 1.438 | 9.0 | 1 4 2 |
| 1.250 | 8.6 | 5 3 1 |
| 2.294 | 8.3 | 4 0 0 |
| 2.167 | 7.3 | 4 -1 1 |

=====

(5)
Computed X-ray powder pattern
Compound: PuZn10Au2
Radiation: λ = 1.5418 Å (Cu Kα)
Structure: a structure optimized by DFT (PBE)
Intensities are scaled so that the largest is 100.

Crystal structure
Lattice parameters (Å, degrees): 5.444 12.697 12.702 90.00 90.00 90.00
Space group Fmmm (No. 69)
Asymmetric unit:
Pu 0.000 0.000 0.000
Zn 0.000 0.110 0.395
Zn 0.000 0.180 0.175
Zn 0.250 0.250 0.000
Au 0.250 0.000 0.250

The 10 most intense peaks (2θ = 10–90°), most intense first:
| d/Å | Rel. int. | index |
| --- | --- | --- |
| 2.328 | 100.0 | 2 2 2 |
| 2.265 | 68.9 | 1 5 1 |
| 2.245 | 58.9 | 0 4 4 |
| 6.349 | 48.8 | 0 2 0 |
| 2.623 | 36.2 | 1 3 3 |
| 2.066 | 35.3 | 2 0 4 |
| 3.175 | 27.9 | 0 4 0 |
| 1.616 | 27.6 | 2 6 2 |
| 2.840 | 26.8 | 0 2 4 |
| 3.232 | 25.7 | 1 3 1 |

=====

(6)
Computed X-ray powder pattern
Compound: Pu3Zn7Au4
Radiation: λ = 1.5418 Å (Cu Kα)
Structure: a structure optimized by DFT (PBE)
Intensities are scaled so that the largest is 100.

Crystal structure
Lattice parameters (Å, degrees): 15.881 4.501 9.307 90.00 124.98 90.00
Space group C2/m (No. 12)
Asymmetric unit:
Pu 0.000 0.000 0.000
Pu 0.207 0.500 0.707
Zn 0.000 0.000 0.500
Zn 0.000 0.500 0.325
Zn 0.139 0.000 0.428
Zn 0.164 0.500 0.015
Au 0.129 0.000 0.845
Au 0.153 0.500 0.288

The 10 most intense peaks (2θ = 10–90°), most intense first:
| d/Å | Rel. int. | index |
| --- | --- | --- |
| 2.251 | 100.0 | 0 2 0 |
| 2.554 | 94.9 | 3 1 -3 |
| 2.607 | 66.1 | 1 1 2 |
| 2.580 | 60.6 | 5 1 -2 |
| 2.528 | 44.7 | 5 1 -1 |
| 2.686 | 41.2 | 2 0 2 |
| 2.544 | 40.6 | 3 1 1 |
| 3.124 | 38.7 | 3 1 0 |
| 2.505 | 30.2 | 6 0 -3 |
| 3.429 | 25.4 | 3 1 -1 |

=====

(7)
Computed X-ray powder pattern
Compound: Rb5Au3
Radiation: λ = 1.5418 Å (Cu Kα)
Structure: a structure optimized by DFT (PBE)
Intensities are scaled so that the largest is 100.

Crystal structure
Lattice parameters (Å, degrees): 9.029 9.029 16.954 90.00 90.00 90.00
Space group P4/ncc (No. 130, origin choice 2)
Asymmetric unit:
Rb 0.069 0.582 0.107
Rb 0.250 0.250 0.235
Au 0.137 0.637 0.750
Au 0.250 0.250 0.010

The 10 most intense peaks (2θ = 10–90°), most intense first:
| d/Å | Rel. int. | index |
| --- | --- | --- |
| 3.285 | 100.0 | 2 1 3 |
| 5.100 | 60.9 | 1 1 2 |
| 2.855 | 53.8 | 3 1 0 |
| 3.090 | 47.9 | 2 0 4 |
| 2.477 | 25.7 | 3 2 1 |
| 1.634 | 23.6 | 5 1 4 |
| 2.597 | 22.2 | 2 1 5 |
| 1.701 | 21.8 | 3 1 8 |
| 8.477 | 19.3 | 0 0 2 |
| 2.584 | 16.6 | 1 1 6 |

=====

(8)
Computed X-ray powder pattern
Compound: Rb12Au
Radiation: λ = 1.5418 Å (Cu Kα)
Structure: a structure optimized by DFT (PBE)
Intensities are scaled so that the largest is 100.

Crystal structure
Lattice parameters (Å, degrees): 12.603 12.603 12.603 90.00 90.00 90.00
Space group Im-3 (No. 204)
Asymmetric unit:
Rb 0.000 0.172 0.301
Au 0.000 0.000 0.000

The 10 most intense peaks (2θ = 10–90°), most intense first:
| d/Å | Rel. int. | index |
| --- | --- | --- |
| 3.368 | 100.0 | 3 2 1 |
| 3.985 | 98.7 | 3 1 0 |
| 2.161 | 43.9 | 5 0 3 |
| 2.045 | 42.4 | 5 3 2 |
| 3.638 | 40.0 | 2 2 2 |
| 1.782 | 23.7 | 7 1 0 |
| 2.573 | 17.5 | 4 2 2 |
| 2.101 | 17.4 | 6 0 0 |
| 1.858 | 17.0 | 6 3 1 |
| 1.506 | 16.3 | 6 3 5 |